Computed XRD peak list of Ge2TeN2 for a wavelength of 1.5418 Å, from a GGA-PBE-relaxed structure.

Structural model:
```
data_Ge2TeN2
_space_group_name_H-M_alt 'P 1'
_space_group_IT_number 1
_cell_length_a 6.999
_cell_length_b 6.999
_cell_length_c 5.305
_cell_angle_alpha 90.00
_cell_angle_beta 90.00
_cell_angle_gamma 49.88
loop_
_space_group_symop_operation_xyz
'x,y,z'
loop_
_atom_site_label
_atom_site_fract_x
_atom_site_fract_y
_atom_site_fract_z
Ge1 0.044 0.343 0.000
Ge2 0.343 0.044 0.500
Ge3 0.657 0.956 0.000
Ge4 0.956 0.657 0.500
Te1 0.268 0.732 0.629
Te2 0.732 0.268 0.129
N1 0.123 0.351 0.335
N2 0.351 0.123 0.835
N3 0.649 0.877 0.335
N4 0.877 0.649 0.835
```

Largest 10 diffraction maxima, sorted by position, 10° ≤ 2θ ≤ 80°:
d_spacing	2θ (°)	I_rel
3.768	23.61	100
3.439	25.91	16
3.173	28.12	20
2.951	30.28	14
2.886	30.99	16
2.653	33.79	11
2.447	36.72	21
2.389	37.65	18
2.135	42.34	43
1.573	58.71	16



Computed XRD peak list of Rb3SmCl6 for a wavelength of 1.5418 Å, from a GGA-PBE-relaxed structure.

Structural model:
```
data_Rb3SmCl6
_space_group_name_H-M_alt 'P 1'
_space_group_IT_number 1
_cell_length_a 8.227
_cell_length_b 8.227
_cell_length_c 8.227
_cell_angle_alpha 60.00
_cell_angle_beta 60.00
_cell_angle_gamma 60.00
loop_
_space_group_symop_operation_xyz
'x,y,z'
loop_
_atom_site_label
_atom_site_fract_x
_atom_site_fract_y
_atom_site_fract_z
Rb1 0.000 0.000 0.000
Rb2 0.250 0.250 0.250
Rb3 0.750 0.750 0.750
Sm1 0.500 0.500 0.500
Cl1 0.268 0.268 0.732
Cl2 0.268 0.732 0.268
Cl3 0.268 0.732 0.732
Cl4 0.732 0.268 0.268
Cl5 0.732 0.268 0.732
Cl6 0.732 0.732 0.268
```

Largest 10 diffraction maxima, sorted by position, 10° ≤ 2θ ≤ 80°:
d_spacing	2θ (°)	I_rel
6.718	13.18	14
5.818	15.23	20
4.114	21.60	100
2.909	30.74	70
2.375	37.88	46
2.057	44.03	48
1.840	49.55	24
1.679	54.65	16
1.555	59.45	27
1.301	72.69	19



Computed XRD peak list of Ba5Ca2Ta3O15 for a wavelength of 1.5418 Å, from a GGA-PBE-relaxed structure.

Structural model:
```
data_Ba5Ca2Ta3O15
_space_group_name_H-M_alt 'P 1'
_space_group_IT_number 1
_cell_length_a 10.463
_cell_length_b 10.463
_cell_length_c 10.463
_cell_angle_alpha 99.47
_cell_angle_beta 99.47
_cell_angle_gamma 132.14
loop_
_space_group_symop_operation_xyz
'x,y,z'
loop_
_atom_site_label
_atom_site_fract_x
_atom_site_fract_y
_atom_site_fract_z
Ba1 0.047 0.346 0.901
Ba2 0.147 0.047 0.701
Ba3 0.250 0.750 0.500
Ba4 0.346 0.446 0.299
Ba5 0.446 0.147 0.099
Ba6 0.554 0.853 0.901
Ba7 0.654 0.554 0.701
Ba8 0.750 0.250 0.500
Ba9 0.853 0.953 0.299
Ba10 0.953 0.654 0.099
Ca1 0.202 0.399 0.601
Ca2 0.399 0.798 0.197
Ca3 0.601 0.202 0.803
Ca4 0.798 0.601 0.399
Ta1 0.000 0.000 0.000
Ta2 0.101 0.697 0.797
Ta3 0.303 0.101 0.404
Ta4 0.500 0.500 0.000
Ta5 0.697 0.899 0.596
Ta6 0.899 0.303 0.203
O1 0.041 0.341 0.382
O2 0.047 0.859 0.906
O3 0.060 0.865 0.390
O4 0.135 0.525 0.195
O5 0.141 0.047 0.188
O6 0.145 0.561 0.706
O7 0.236 0.753 0.989
O8 0.246 0.246 0.000
O9 0.247 0.236 0.483
O10 0.330 0.940 0.805
O11 0.341 0.959 0.299
O12 0.362 0.454 0.816
O13 0.439 0.145 0.583
O14 0.454 0.638 0.092
O15 0.475 0.670 0.610
O16 0.525 0.330 0.390
O17 0.546 0.362 0.908
O18 0.561 0.855 0.417
O19 0.638 0.546 0.184
O20 0.659 0.041 0.701
O21 0.670 0.060 0.195
O22 0.753 0.764 0.517
O23 0.754 0.754 0.000
O24 0.764 0.247 0.011
O25 0.855 0.439 0.294
O26 0.859 0.953 0.812
O27 0.865 0.475 0.805
O28 0.940 0.135 0.610
O29 0.953 0.141 0.094
O30 0.959 0.659 0.618
```

Largest 10 diffraction maxima, sorted by position, 10° ≤ 2θ ≤ 80°:
d_spacing	2θ (°)	I_rel
4.926	18.01	20
3.024	29.54	50
3.012	29.65	100
2.139	42.26	30
2.122	42.61	15
1.744	52.47	40
1.737	52.70	20
1.512	61.30	9
1.506	61.57	18
1.352	69.53	18